This entry pairs a crystal structure of Zn3Cu6Au with its computed powder X-ray diffraction pattern. Radiation: Cu Kα (λ = 1.5418 Å). Structure: a PBE-relaxed structure.
No peak broadening, texture or thermal motion is included.

Most intense lines, 2θ from 10° to 80°, low angle first:
(1 1 3), 2θ = 40.1°, d 2.248, I = 95
(0 2 2), 2θ = 41.5°, d 2.176, I = 70
(1 1 -4), 2θ = 41.7°, d 2.166, I = 84
(0 0 10), 2θ = 42.0°, d 2.150, I = 100
(1 1 5), 2θ = 43.6°, d 2.074, I = 87
(1 1 6), 2θ = 45.9°, d 1.975, I = 78
(1 1 -7), 2θ = 48.6°, d 1.875, I = 42
(0 2 8), 2θ = 53.5°, d 1.713, I = 31

Structural model:
```
data_Zn3Cu6Au
_chemical_formula_sum 'Zn6 Cu12 Au2'
_cell_length_a 2.797
_cell_length_b 4.445
_cell_length_c 21.504
_cell_angle_alpha 90.00
_cell_angle_beta 90.10
_cell_angle_gamma 90.00
_symmetry_space_group_name_H-M 'P 1 21/c 1'
_symmetry_Int_Tables_number 14
loop_
_symmetry_equiv_pos_as_xyz
'x,y,z'
'-x,-y,-z'
'-x,y+1/2,-z+1/2'
'x,-y+1/2,z+1/2'
loop_
_atom_site_label
_atom_site_fract_x
_atom_site_fract_y
_atom_site_fract_z
Zn1 0.000 0.000 0.000
Zn2 0.000 0.227 0.300
Cu1 0.001 0.143 0.605
Cu2 0.498 0.135 0.897
Cu3 0.499 0.225 0.200
Au1 0.500 0.000 0.500
```